Diffraction record for Ba2TiS4. The X-ray powder pattern is simulated, not measured: it uses the GGA-PBE geometry in the Materials Project and Cu Kα, 1.54184 Å.
Neutral-atom scattering factors, no anomalous dispersion.

Most intense lines, 15° ≤ 2θ ≤ 90°, by angle:
| hkl | two_theta | I/Imax |
| --- | --- | --- |
| 1 1 2 | 21.39 | 100.0 |
| 0 1 3 | 24.75 | 86.2 |
| 0 2 0 | 25.80 | 97.1 |
| 3 0 1 | 30.18 | 65.1 |
| 3 1 1 | 32.91 | 53.2 |
| 1 2 3 | 35.00 | 53.0 |

```
data_Ba2TiS4
_cell_length_a 9.139
_cell_length_b 6.907
_cell_length_c 12.640
_cell_angle_alpha 90.00
_cell_angle_beta 90.00
_cell_angle_gamma 90.00
_symmetry_space_group_name_H-M 'P n m a'
_symmetry_Int_Tables_number 62
_symmetry_space_group_name_Hall '-P 2ac 2n'
loop_
_atom_site_label
_atom_site_fract_x
_atom_site_fract_y
_atom_site_fract_z
Ba1 0.023 0.250 0.175
Ba2 0.132 0.750 0.425
Ti1 0.227 0.750 0.072
S1 0.019 0.250 0.911
S2 0.168 0.508 0.648
S3 0.193 0.250 0.403
```

=====

Diffraction record for ZnH2Se2O8. The X-ray powder pattern is simulated, not measured: it uses the GGA-PBE geometry in the Materials Project and Cu Kα, 1.54184 Å.
Neutral-atom scattering factors, no anomalous dispersion.

Most intense lines, 15° ≤ 2θ ≤ 90°, by angle:
| hkl | two_theta | I/Imax |
| --- | --- | --- |
| 0 1 1 | 15.59 | 83.8 |
| 1 1 0 | 22.17 | 100.0 |
| 0 2 1 | 23.52 | 70.6 |
| 1 1 -2 | 24.55 | 96.2 |
| 0 2 2 | 31.49 | 50.7 |
| 1 3 -1 | 35.32 | 52.6 |

```
data_ZnH2Se2O8
_cell_length_a 5.166
_cell_length_b 8.782
_cell_length_c 8.541
_cell_angle_alpha 90.00
_cell_angle_beta 119.24
_cell_angle_gamma 90.00
_symmetry_space_group_name_H-M 'P 1 21/c 1'
_symmetry_Int_Tables_number 14
_symmetry_space_group_name_Hall '-P 2ybc'
loop_
_atom_site_label
_atom_site_fract_x
_atom_site_fract_y
_atom_site_fract_z
Zn1 0.000 0.000 0.000
H1 0.424 0.009 0.647
Se1 0.333 0.684 0.288
O1 0.044 0.637 0.311
O2 0.304 0.588 0.100
O3 0.317 0.634 0.729
O4 0.343 0.144 0.033
```

=====

Diffraction record for TaMoN. The X-ray powder pattern is simulated, not measured: it uses the GGA-PBE geometry in the Materials Project and Cu Kα, 1.54184 Å.
Neutral-atom scattering factors, no anomalous dispersion.

Most intense lines, 15° ≤ 2θ ≤ 90°, by angle:
| hkl | two_theta | I/Imax |
| --- | --- | --- |
| 1 0 1 | 31.05 | 21.5 |
| 1 0 2 | 36.96 | 100.0 |
| 1 1 0 | 41.26 | 55.4 |
| 1 1 3 | 54.63 | 15.4 |
| 2 0 0 | 59.77 | 18.2 |
| 2 1 2 | 72.39 | 28.8 |

```
data_TaMoN
_cell_length_a 3.095
_cell_length_b 3.095
_cell_length_c 7.866
_cell_angle_alpha 90.00
_cell_angle_beta 90.00
_cell_angle_gamma 90.00
_symmetry_space_group_name_H-M 'P 4/n m m'
_symmetry_Int_Tables_number 129
loop_
_symmetry_equiv_pos_as_xyz
'x,y,z'
'-x,-y,-z'
'-y+1/2,x,z'
'y+1/2,-x,-z'
'-x+1/2,-y+1/2,z'
'x+1/2,y+1/2,-z'
'y,-x+1/2,z'
'-y,x+1/2,-z'
'x+1/2,-y,-z'
'-x+1/2,y,z'
'-y,-x,-z'
'y,x,z'
'-x,y+1/2,-z'
'x,-y+1/2,z'
'y+1/2,x+1/2,-z'
'-y+1/2,-x+1/2,z'
loop_
_atom_site_label
_atom_site_fract_x
_atom_site_fract_y
_atom_site_fract_z
Ta1 0.250 0.250 0.165
Mo1 0.250 0.250 0.597
N1 0.250 0.250 0.876
```

=====

Diffraction record for Mn2SiNi. The X-ray powder pattern is simulated, not measured: it uses the GGA-PBE geometry in the Materials Project and Cu Kα, 1.54184 Å.
Neutral-atom scattering factors, no anomalous dispersion.

Most intense lines, 15° ≤ 2θ ≤ 90°, by angle:
| hkl | two_theta | I/Imax |
| --- | --- | --- |
| 1 1 1 | 27.28 | 5.4 |
| 2 0 0 | 31.60 | 4.5 |
| 2 2 0 | 45.30 | 100.0 |
| 3 1 1 | 53.69 | 2.3 |
| 4 0 0 | 66.00 | 14.8 |
| 4 2 2 | 83.68 | 29.4 |

```
data_Mn2SiNi
_cell_length_a 5.662
_cell_length_b 5.662
_cell_length_c 5.662
_cell_angle_alpha 90.00
_cell_angle_beta 90.00
_cell_angle_gamma 90.00
_symmetry_space_group_name_H-M 'F -4 3 m'
_symmetry_Int_Tables_number 216
_symmetry_space_group_name_Hall 'F -4 2 3'
loop_
_atom_site_label
_atom_site_fract_x
_atom_site_fract_y
_atom_site_fract_z
Mn1 0.000 0.000 0.000
Mn2 0.250 0.250 0.250
Si1 0.000 0.000 0.500
Ni1 0.250 0.250 0.750
```

=====

Diffraction record for CeSi2Ru. The X-ray powder pattern is simulated, not measured: it uses the GGA-PBE geometry in the Materials Project and Cu Kα, 1.54184 Å.
Neutral-atom scattering factors, no anomalous dispersion.

Most intense lines, 15° ≤ 2θ ≤ 90°, by angle:
| hkl | two_theta | I/Imax |
| --- | --- | --- |
| 1 1 -1 | 30.41 | 100.0 |
| 0 1 2 | 31.21 | 80.8 |
| 1 0 2 | 33.55 | 53.5 |
| 1 1 1 | 33.65 | 81.0 |
| 1 0 -3 | 35.26 | 70.8 |
| 0 1 3 | 40.24 | 64.4 |

```
data_CeSi2Ru
_cell_length_a 4.452
_cell_length_b 4.087
_cell_length_c 8.244
_cell_angle_alpha 90.00
_cell_angle_beta 102.73
_cell_angle_gamma 90.00
_symmetry_space_group_name_H-M 'P 1 21/m 1'
_symmetry_Int_Tables_number 11
_symmetry_space_group_name_Hall '-P 2yb'
loop_
_atom_site_label
_atom_site_fract_x
_atom_site_fract_y
_atom_site_fract_z
Ce1 0.089 0.250 0.199
Si1 0.165 0.750 0.492
Si2 0.462 0.250 0.912
Ru1 0.386 0.250 0.614
```

=====

Diffraction record for PdAu3. The X-ray powder pattern is simulated, not measured: it uses the GGA-PBE geometry in the Materials Project and Cu Kα, 1.54184 Å.
Neutral-atom scattering factors, no anomalous dispersion.

Most intense lines, 15° ≤ 2θ ≤ 90°, by angle:
| hkl | two_theta | I/Imax |
| --- | --- | --- |
| 1 0 0 | 21.59 | 4.6 |
| 1 1 1 | 37.86 | 100.0 |
| 2 0 0 | 44.00 | 49.3 |
| 2 2 0 | 63.98 | 32.7 |
| 3 1 1 | 76.81 | 39.2 |
| 2 2 2 | 80.91 | 11.5 |

```
data_PdAu3
_cell_length_a 4.116
_cell_length_b 4.116
_cell_length_c 4.116
_cell_angle_alpha 90.00
_cell_angle_beta 90.00
_cell_angle_gamma 90.00
_symmetry_space_group_name_H-M 'P m -3 m'
_symmetry_Int_Tables_number 221
_symmetry_space_group_name_Hall '-P 4 2 3'
loop_
_atom_site_label
_atom_site_fract_x
_atom_site_fract_y
_atom_site_fract_z
Pd1 0.000 0.000 0.000
Au1 0.000 0.500 0.500
```

=====

Diffraction record for MgNb2S4Br4. The X-ray powder pattern is simulated, not measured: it uses the GGA-PBE geometry in the Materials Project and Cu Kα, 1.54184 Å.
Neutral-atom scattering factors, no anomalous dispersion.

Most intense lines, 15° ≤ 2θ ≤ 90°, by angle:
| hkl | two_theta | I/Imax |
| --- | --- | --- |
| 1 1 1 | 16.89 | 93.7 |
| 1 0 2 | 25.28 | 100.0 |
| 1 2 0 | 25.63 | 77.1 |
| 2 2 0 | 32.92 | 76.1 |
| -1 1 2 | 35.52 | 73.9 |
| -1 2 2 | 42.93 | 66.7 |

```
data_MgNb2S4Br4
_cell_length_a 6.731
_cell_length_b 7.377
_cell_length_c 7.595
_cell_angle_alpha 77.84
_cell_angle_beta 71.38
_cell_angle_gamma 69.73
_symmetry_space_group_name_H-M 'P -1'
_symmetry_Int_Tables_number 2
_symmetry_space_group_name_Hall '-P 1'
loop_
_atom_site_label
_atom_site_fract_x
_atom_site_fract_y
_atom_site_fract_z
Mg1 0.000 0.000 0.000
Nb1 0.276 0.518 0.067
S1 0.449 0.789 0.924
S2 0.465 0.608 0.233
Br1 0.013 0.707 0.820
Br2 0.077 0.231 0.706
```

=====

What did the seventh record say?
Diffraction record for MgNb2S4Br4. The X-ray powder pattern is simulated, not measured: it uses the GGA-PBE geometry in the Materials Project and Cu Kα, 1.54184 Å.
Neutral-atom scattering factors, no anomalous dispersion.

Most intense lines, 15° ≤ 2θ ≤ 90°, by angle:
| hkl | two_theta | I/Imax |
| --- | --- | --- |
| 1 1 1 | 16.89 | 93.7 |
| 1 0 2 | 25.28 | 100.0 |
| 1 2 0 | 25.63 | 77.1 |
| 2 2 0 | 32.92 | 76.1 |
| -1 1 2 | 35.52 | 73.9 |
| -1 2 2 | 42.93 | 66.7 |

```
data_MgNb2S4Br4
_cell_length_a 6.731
_cell_length_b 7.377
_cell_length_c 7.595
_cell_angle_alpha 77.84
_cell_angle_beta 71.38
_cell_angle_gamma 69.73
_symmetry_space_group_name_H-M 'P -1'
_symmetry_Int_Tables_number 2
_symmetry_space_group_name_Hall '-P 1'
loop_
_atom_site_label
_atom_site_fract_x
_atom_site_fract_y
_atom_site_fract_z
Mg1 0.000 0.000 0.000
Nb1 0.276 0.518 0.067
S1 0.449 0.789 0.924
S2 0.465 0.608 0.233
Br1 0.013 0.707 0.820
Br2 0.077 0.231 0.706
```